Starting from a crystal structure in Alexandria, relaxed with GGA+U, the powder diffraction line list of Na3V3O8 was computed for Cu Kα (λ = 1.5418 Å).

Structural model:
a b c (Å): 5.6200 5.6200 6.8791
angles (deg): 90.00 90.00 120.00
Fractional coordinates of all 14 atoms:
Na1 0.0000 0.0000 0.0000
Na2 0.3333 0.6667 0.6603
Na3 0.6667 0.3333 0.3397
V1 0.0000 0.0000 0.5000
V2 0.3333 0.6667 0.2256
V3 0.6667 0.3333 0.7744
O1 0.1658 0.3316 0.3225
O2 0.1658 0.8342 0.3225
O3 0.3316 0.1658 0.6775
O4 0.3333 0.6667 0.9816
O5 0.6667 0.3333 0.0184
O6 0.6684 0.8342 0.3225
O7 0.8342 0.1658 0.6775
O8 0.8342 0.6684 0.6775

Principal peaks in the range 10 to 90 degrees two-theta, in order of rising 2θ:
- 12.87 deg, intensity 10
- 22.38 deg, intensity 52
- 31.85 deg, intensity 100
- 43.63 deg, intensity 11
- 45.67 deg, intensity 33
- 51.42 deg, intensity 9
- 56.75 deg, intensity 26
- 66.56 deg, intensity 22